For TbNp2Te2Se2, the PBE geometry in Alexandria gives the calculated powder XRD pattern in this record (CuKα).

Main lines, low angle first (2θ from 5° to 70°):
2θ = 11.4°, I = 19; 2θ = 23.5°, I = 89; 2θ = 33.0°, I = 27; 2θ = 33.3°, I = 100; 2θ = 33.5°, I = 77; 2θ = 47.9°, I = 73; 2θ = 48.1°, I = 28; 2θ = 54.2°, I = 19; 2θ = 59.7°, I = 19; 2θ = 69.8°, I = 12

Cell and atoms:
Lattice parameters (Å, degrees): 5.350 5.350 15.589 90.00 90.00 90.00
Fractional coordinates of all 14 atoms:
Tb 0.000 0.000 0.000
Tb 0.500 0.500 0.500
Np 0.000 0.000 0.387
Np 0.000 0.000 0.613
Np 0.500 0.500 0.113
Np 0.500 0.500 0.887
Te 0.000 0.000 0.191
Te 0.000 0.000 0.809
Te 0.500 0.500 0.309
Te 0.500 0.500 0.691
Se 0.000 0.500 0.000
Se 0.000 0.500 0.500
Se 0.500 0.000 0.000
Se 0.500 0.000 0.500

=====

For Ag8SBr6, the PBE geometry in Alexandria gives the calculated powder XRD pattern in this record (CuKα).

Main lines, low angle first (2θ from 5° to 70°):
2θ = 25.4°, I = 41; 2θ = 29.9°, I = 100; 2θ = 37.5°, I = 18; 2θ = 38.5°, I = 14; 2θ = 40.5°, I = 12; 2θ = 40.9°, I = 11; 2θ = 42.1°, I = 67; 2θ = 43.6°, I = 30; 2θ = 44.0°, I = 12; 2θ = 52.5°, I = 11

Cell and atoms:
Lattice parameters (Å, degrees): 7.362 7.362 7.362 101.10 101.10 101.10
Fractional coordinates of all 15 atoms:
Ag 0.203 0.324 0.622
Ag 0.225 0.225 0.225
Ag 0.324 0.622 0.203
Ag 0.378 0.797 0.676
Ag 0.622 0.203 0.324
Ag 0.676 0.378 0.797
Ag 0.775 0.775 0.775
Ag 0.797 0.676 0.378
S 0.500 0.500 0.500
Br 0.088 0.627 0.825
Br 0.175 0.912 0.373
Br 0.373 0.175 0.912
Br 0.627 0.825 0.088
Br 0.825 0.088 0.627
Br 0.912 0.373 0.175

=====

For BaNaTe2, the PBE geometry in Alexandria gives the calculated powder XRD pattern in this record (CuKα).

Main lines, low angle first (2θ from 5° to 70°):
2θ = 7.1°, I = 48; 2θ = 23.3°, I = 100; 2θ = 25.1°, I = 21; 2θ = 28.0°, I = 98; 2θ = 31.6°, I = 68; 2θ = 34.4°, I = 50; 2θ = 37.2°, I = 72; 2θ = 41.8°, I = 21; 2θ = 59.6°, I = 22; 2θ = 65.6°, I = 21

Cell and atoms:
Lattice parameters (Å, degrees): 6.364 7.416 12.399 90.00 90.00 90.00
Fractional coordinates of all 16 atoms:
Ba 0.000 0.250 0.205
Ba 0.000 0.750 0.795
Ba 0.500 0.250 0.795
Ba 0.500 0.750 0.205
Na 0.250 0.000 0.500
Na 0.250 0.500 0.500
Na 0.750 0.000 0.500
Na 0.750 0.500 0.500
Te 0.000 0.250 0.659
Te 0.000 0.750 0.341
Te 0.250 0.000 0.000
Te 0.250 0.500 0.000
Te 0.500 0.250 0.341
Te 0.500 0.750 0.659
Te 0.750 0.000 0.000
Te 0.750 0.500 0.000

=====

For PuZrIr4, the PBE geometry in Alexandria gives the calculated powder XRD pattern in this record (CuKα).

Main lines, low angle first (2θ from 5° to 70°):
2θ = 20.5°, I = 15; 2θ = 23.7°, I = 5; 2θ = 33.8°, I = 22; 2θ = 39.8°, I = 100; 2θ = 41.7°, I = 46; 2θ = 48.5°, I = 7; 2θ = 53.2°, I = 4; 2θ = 54.7°, I = 2; 2θ = 60.4°, I = 8; 2θ = 64.5°, I = 33

Cell and atoms:
Lattice parameters (Å, degrees): 5.308 5.308 5.308 60.00 60.00 60.00
Fractional coordinates of all 6 atoms:
Pu 0.000 0.000 0.000
Zr 0.750 0.750 0.750
Ir 0.375 0.375 0.375
Ir 0.375 0.375 0.875
Ir 0.375 0.875 0.375
Ir 0.875 0.375 0.375

=====

For Cs3GeSe3, the PBE geometry in Alexandria gives the calculated powder XRD pattern in this record (CuKα).

Main lines, low angle first (2θ from 5° to 70°):
2θ = 21.9°, I = 38; 2θ = 25.1°, I = 66; 2θ = 27.2°, I = 100; 2θ = 27.4°, I = 36; 2θ = 28.0°, I = 72; 2θ = 28.4°, I = 52; 2θ = 29.6°, I = 38; 2θ = 29.9°, I = 36; 2θ = 32.4°, I = 45; 2θ = 47.5°, I = 48

Cell and atoms:
Lattice parameters (Å, degrees): 10.876 10.876 9.859 94.92 94.92 81.19
Fractional coordinates of all 28 atoms:
Cs 0.081 0.919 0.750
Cs 0.155 0.660 0.377
Cs 0.250 0.253 0.254
Cs 0.253 0.250 0.754
Cs 0.340 0.845 0.123
Cs 0.419 0.581 0.750
Cs 0.581 0.419 0.250
Cs 0.660 0.155 0.877
Cs 0.747 0.750 0.246
Cs 0.750 0.747 0.746
Cs 0.845 0.340 0.623
Cs 0.919 0.081 0.250
Ge 0.073 0.573 0.963
Ge 0.427 0.927 0.537
Ge 0.573 0.073 0.463
Ge 0.927 0.427 0.037
Se 0.004 0.784 0.051
Se 0.069 0.567 0.718
Se 0.216 0.996 0.449
Se 0.283 0.508 0.054
Se 0.433 0.931 0.782
Se 0.492 0.717 0.446
Se 0.508 0.283 0.554
Se 0.567 0.069 0.218
Se 0.717 0.492 0.946
Se 0.784 0.004 0.551
Se 0.931 0.433 0.282
Se 0.996 0.216 0.949

=====

For CsMg14Zn, the PBE geometry in Alexandria gives the calculated powder XRD pattern in this record (CuKα).

Main lines, low angle first (2θ from 5° to 70°):
2θ = 15.7°, I = 34; 2θ = 22.7°, I = 32; 2θ = 31.7°, I = 28; 2θ = 33.0°, I = 25; 2θ = 35.9°, I = 100; 2θ = 46.5°, I = 19; 2θ = 56.5°, I = 17; 2θ = 60.9°, I = 18; 2θ = 67.0°, I = 18; 2θ = 68.8°, I = 14

Cell and atoms:
Lattice parameters (Å, degrees): 6.515 6.515 10.846 90.00 90.00 120.00
Fractional coordinates of all 16 atoms:
Cs 0.000 0.000 0.000
Mg 0.009 0.505 0.000
Mg 0.169 0.337 0.273
Mg 0.169 0.337 0.727
Mg 0.169 0.831 0.273
Mg 0.169 0.831 0.727
Mg 0.495 0.505 0.000
Mg 0.495 0.991 0.000
Mg 0.505 0.010 0.500
Mg 0.505 0.495 0.500
Mg 0.663 0.831 0.273
Mg 0.663 0.831 0.727
Mg 0.667 0.333 0.241
Mg 0.667 0.333 0.759
Mg 0.990 0.495 0.500
Zn 0.000 0.000 0.500